1.
Starting from DFT lattice parameters and positions (PBE), the powder diffraction line list of PmScUO6 was calculated for Cu Kα, 1.54184 Å.

Principal peaks in the range 2θ from 5° to 70°, low angle first:
hkl 1 0 1, 2θ 20.4, intensity 51.8; hkl 1 0 2, 2θ 25.8, intensity 100.0; hkl 1 1 0, 2θ 32.0, intensity 48.5; hkl 1 0 3, 2θ 33.0, intensity 16.2; hkl 2 0 1, 2θ 38.3, intensity 10.9; hkl 2 0 2, 2θ 41.6, intensity 27.5; hkl 1 1 4, 2θ 49.4, intensity 45.2; hkl 2 1 2, 2θ 53.4, intensity 27.1; hkl 3 0 0, 2θ 57.0, intensity 17.1; hkl 3 0 4, 2θ 69.7, intensity 11.9

Crystal structure
a = 5.5933 Å, b = 5.5933 Å, c = 9.8294 Å
α = 90.00°, β = 90.00°, γ = 120.00°
Space group P-31c (No. 163)
Symmetry-distinct sites (fractional):
Pm: 0.0000 0.0000 0.0000 (multiplicity 2)
Sc: 0.3333 0.6667 0.2500 (multiplicity 2)
U: 0.3333 0.6667 0.7500 (multiplicity 2)
O: 0.0047 0.3569 0.6391 (multiplicity 12)

2.
Starting from DFT lattice parameters and positions (PBE), the powder diffraction line list of Yb2Fe17 was calculated for Cu Kα, 1.54184 Å.

Principal peaks in the range 2θ from 5° to 70°, low angle first:
hkl 1 1 2, 2θ 30.7, intensity 46.5; hkl 3 0 0, 2θ 37.6, intensity 41.7; hkl 2 0 3, 2θ 41.6, intensity 27.5; hkl 2 2 0, 2θ 43.7, intensity 57.1; hkl 3 0 2, 2θ 43.9, intensity 100.0; hkl 0 0 4, 2θ 44.4, intensity 30.8; hkl 2 1 3, 2θ 47.3, intensity 16.0; hkl 2 2 2, 2θ 49.3, intensity 12.8; hkl 4 1 2, 2θ 63.6, intensity 16.7; hkl 2 2 4, 2θ 64.0, intensity 17.7

Crystal structure
a = 8.2886 Å, b = 8.2886 Å, c = 8.1684 Å
α = 90.00°, β = 90.00°, γ = 120.00°
Space group P6_3/mmc (No. 194)
Symmetry-distinct sites (fractional):
Yb: 0.0000 0.0000 0.2500 (multiplicity 2)
Yb: 0.3333 0.6667 0.2500 (multiplicity 2)
Fe: 0.0000 0.5000 0.0000 (multiplicity 6)
Fe: 0.0392 0.3703 0.7500 (multiplicity 12)
Fe: 0.1674 0.3347 0.0130 (multiplicity 12)
Fe: 0.3333 0.6667 0.6107 (multiplicity 4)

3.
Starting from DFT lattice parameters and positions (PBE), the powder diffraction line list of Pm5RhSe4 was calculated for Cu Kα, 1.54184 Å.

Principal peaks in the range 2θ from 5° to 70°, low angle first:
hkl 1 0 5, 2θ 26.0, intensity 13.3; hkl 1 1 0, 2θ 30.1, intensity 100.0; hkl 1 0 9, 2θ 34.6, intensity 1.8; hkl 1 0 11, 2θ 39.7, intensity 2.3; hkl 2 0 0, 2θ 43.2, intensity 72.8; hkl 2 1 5, 2θ 51.1, intensity 6.1; hkl 2 0 10, 2θ 53.5, intensity 25.1; hkl 0 0 20, 2θ 62.6, intensity 3.1; hkl 2 2 0, 2θ 62.7, intensity 8.3; hkl 3 0 5, 2θ 69.1, intensity 2.2

Crystal structure
a = 4.1897 Å, b = 4.1897 Å, c = 29.6761 Å
α = 90.00°, β = 90.00°, γ = 90.00°
Space group I4/mmm (No. 139)
Symmetry-distinct sites (fractional):
Pm: 0.0000 0.0000 0.0000 (multiplicity 2)
Pm: 0.0000 0.0000 0.2039 (multiplicity 4)
Pm: 0.0000 0.0000 0.4064 (multiplicity 4)
Rh: 0.0000 0.0000 0.5000 (multiplicity 2)
Se: 0.0000 0.0000 0.1027 (multiplicity 4)
Se: 0.0000 0.0000 0.3046 (multiplicity 4)

4.
Starting from DFT lattice parameters and positions (PBE), the powder diffraction line list of DyHo2Ga6 was calculated for Cu Kα, 1.54184 Å.

Principal peaks in the range 2θ from 5° to 70°, low angle first:
hkl 0 1 3, 2θ 23.8, intensity 20.5; hkl 1 1 2, 2θ 27.9, intensity 39.9; hkl 1 2 1, 2θ 33.8, intensity 100.0; hkl 0 1 5, 2θ 36.1, intensity 22.1; hkl 1 1 4, 2θ 36.5, intensity 71.1; hkl 1 0 5, 2θ 39.8, intensity 21.2; hkl 2 0 0, 2θ 42.1, intensity 34.3; hkl 0 3 3, 2θ 44.1, intensity 41.4; hkl 0 4 0, 2θ 52.6, intensity 20.1; hkl 2 3 3, 2θ 62.6, intensity 28.7

Crystal structure
a = 4.2918 Å, b = 6.9572 Å, c = 13.3122 Å
α = 90.00°, β = 90.00°, γ = 90.00°
Space group Immm (No. 71)
Symmetry-distinct sites (fractional):
Dy: 0.0000 0.0000 0.0000 (multiplicity 2)
Ho: 0.0000 0.5000 0.1253 (multiplicity 4)
Ga: 0.0000 0.1897 0.5000 (multiplicity 4)
Ga: 0.0000 0.3071 0.3151 (multiplicity 8)

5.
Starting from DFT lattice parameters and positions (PBE), the powder diffraction line list of AcLa4Ho2Er was calculated for Cu Kα, 1.54184 Å.

Principal peaks in the range 2θ from 5° to 70°, low angle first:
hkl 3 1 -2, 2θ 29.6, intensity 100.0; hkl 0 2 0, 2θ 34.1, intensity 34.4; hkl 4 0 0, 2θ 34.8, intensity 16.4; hkl 2 2 -4, 2θ 49.0, intensity 12.4; hkl 4 2 0, 2θ 49.5, intensity 24.2; hkl 5 1 -6, 2θ 58.3, intensity 14.6; hkl 3 3 -2, 2θ 58.4, intensity 14.8; hkl 7 1 -2, 2θ 59.2, intensity 7.2; hkl 5 1 2, 2θ 59.2, intensity 7.1; hkl 6 2 -4, 2θ 61.5, intensity 12.6

Crystal structure
a = 11.5833 Å, b = 5.2477 Å, c = 10.5231 Å
α = 90.00°, β = 117.04°, γ = 90.00°
Space group C2/m (No. 12)
Symmetry-distinct sites (fractional):
Ac: 0.0000 0.0000 0.0000 (multiplicity 2)
La: 0.2462 0.0000 0.8684 (multiplicity 4)
La: 0.2483 0.5000 0.6223 (multiplicity 4)
Ho: 0.0005 0.5000 0.7434 (multiplicity 4)
Er: 0.0000 0.0000 0.5000 (multiplicity 2)

6.
Starting from DFT lattice parameters and positions (PBE), the powder diffraction line list of SbTe3Pd12 was calculated for Cu Kα, 1.54184 Å.

Principal peaks in the range 2θ from 5° to 70°, low angle first:
hkl 0 0 1, 2θ 5.3, intensity 0.5; hkl 1 0 5, 2θ 34.8, intensity 0.8; hkl 1 1 4, 2θ 38.1, intensity 100.0; hkl 0 0 8, 2θ 43.4, intensity 15.8; hkl 1 0 7, 2θ 44.1, intensity 0.7; hkl 2 0 0, 2θ 44.7, intensity 32.5; hkl 1 0 9, 2θ 54.5, intensity 0.6; hkl 2 0 8, 2θ 64.1, intensity 19.5; hkl 2 2 0, 2θ 65.0, intensity 10.4

Crystal structure
a = 4.0581 Å, b = 4.0581 Å, c = 16.6670 Å
α = 90.00°, β = 90.00°, γ = 90.00°
Space group P4/mmm (No. 123)
Symmetry-distinct sites (fractional):
Sb: 0.0000 0.0000 0.0000 (multiplicity 1)
Te: 0.0000 0.0000 0.2569 (multiplicity 2)
Te: 0.0000 0.0000 0.5000 (multiplicity 1)
Pd: 0.0000 0.5000 0.1175 (multiplicity 4)
Pd: 0.0000 0.5000 0.3704 (multiplicity 4)
Pd: 0.5000 0.5000 0.0000 (multiplicity 1)
Pd: 0.5000 0.5000 0.2379 (multiplicity 2)
Pd: 0.5000 0.5000 0.5000 (multiplicity 1)

7.
Starting from DFT lattice parameters and positions (PBE), the powder diffraction line list of NaGeAu3 was calculated for Cu Kα, 1.54184 Å.

Principal peaks in the range 2θ from 5° to 70°, low angle first:
hkl 2 0 0, 2θ 19.3, intensity 27.6; hkl 2 1 1, 2θ 23.7, intensity 59.9; hkl 3 0 2, 2θ 35.2, intensity 100.0; hkl 3 2 1, 2θ 36.6, intensity 88.2; hkl 4 1 0, 2θ 40.5, intensity 90.6; hkl 4 0 2, 2θ 44.1, intensity 31.2; hkl 4 2 1, 2θ 45.2, intensity 64.9; hkl 6 0 0, 2θ 60.4, intensity 16.5; hkl 5 3 2, 2θ 62.3, intensity 41.5; hkl 6 2 1, 2θ 65.0, intensity 23.0

Crystal structure
a = 9.1892 Å, b = 9.1892 Å, c = 9.1892 Å
α = 90.00°, β = 90.00°, γ = 90.00°
Space group Pa-3 (No. 205)
Symmetry-distinct sites (fractional):
Na: 0.0989 0.0989 0.0989 (multiplicity 8)
Ge: 0.1126 0.6126 0.8874 (multiplicity 8)
Au: 0.0903 0.7316 0.1387 (multiplicity 24)